# 1
YHoAg2Te4: calculated X-ray diffraction stick pattern (Cu Kα, 1.54184 Å), based on a cell relaxed with PBE.
Kinematic intensities with the Lorentz-polarization factor, no thermal factor.

Most intense lines, 2θ = 5–70°, sorted by position:
2θ/deg, d [Å], Rel. int.
25.92, 3.438, 100
28.07, 3.179, 29
31.53, 2.837, 49
34.02, 2.635, 60
35.74, 2.512, 65
42.35, 2.134, 32
42.72, 2.116, 46
44.67, 2.029, 20

Structural model:
```
data_YHoAg2Te4
_chemical_formula_sum 'Y2 Ho2 Ag4 Te8'
_space_group_name_H-M_alt 'P 1'
_space_group_IT_number 1
_space_group_name_Hall 'P 1'
_cell_length_a 10.037
_cell_length_b 10.060
_cell_length_c 4.715
_cell_angle_alpha 90.00
_cell_angle_beta 90.00
_cell_angle_gamma 90.00
loop_
_atom_site_label
_atom_site_type_symbol
_atom_site_fract_x
_atom_site_fract_y
_atom_site_fract_z
Y1 Y 0.000 0.000 0.000
Y2 Y 0.500 0.500 0.000
Ho1 Ho 0.000 0.500 0.390
Ho2 Ho 0.500 0.000 0.390
Ag1 Ag 0.250 0.250 0.196
Ag2 Ag 0.250 0.750 0.196
Ag3 Ag 0.750 0.250 0.196
Ag4 Ag 0.750 0.750 0.196
Te1 Te 0.000 0.202 0.487
Te2 Te 0.000 0.798 0.487
Te3 Te 0.201 0.500 0.906
Te4 Te 0.299 0.000 0.906
Te5 Te 0.500 0.298 0.487
Te6 Te 0.500 0.702 0.487
Te7 Te 0.701 0.000 0.906
Te8 Te 0.799 0.500 0.906
```


# 2
CdMo2Pb: calculated X-ray diffraction stick pattern (Cu Kα, 1.54184 Å), based on a cell relaxed with PBE.
Kinematic intensities with the Lorentz-polarization factor, no thermal factor.

Most intense lines, 2θ = 5–70°, sorted by position:
2θ/deg, d [Å], Rel. int.
22.92, 3.880, 10
26.53, 3.360, 4
37.87, 2.376, 100
44.73, 2.026, 6
54.63, 1.680, 17
60.01, 1.542, 3
61.73, 1.503, 2
68.39, 1.372, 35

Structural model:
```
data_CdMo2Pb
_chemical_formula_sum 'Cd4 Mo8 Pb4'
_space_group_name_H-M_alt 'P 1'
_space_group_IT_number 1
_space_group_name_Hall 'P 1'
_cell_length_a 6.720
_cell_length_b 6.720
_cell_length_c 6.720
_cell_angle_alpha 90.00
_cell_angle_beta 90.00
_cell_angle_gamma 90.00
loop_
_atom_site_label
_atom_site_type_symbol
_atom_site_fract_x
_atom_site_fract_y
_atom_site_fract_z
Cd1 Cd 0.000 0.000 0.000
Cd2 Cd 0.000 0.500 0.500
Cd3 Cd 0.500 0.000 0.500
Cd4 Cd 0.500 0.500 0.000
Mo1 Mo 0.000 0.000 0.500
Mo2 Mo 0.000 0.500 0.000
Mo3 Mo 0.250 0.250 0.250
Mo4 Mo 0.250 0.750 0.750
Mo5 Mo 0.500 0.000 0.000
Mo6 Mo 0.500 0.500 0.500
Mo7 Mo 0.750 0.250 0.750
Mo8 Mo 0.750 0.750 0.250
Pb1 Pb 0.250 0.250 0.750
Pb2 Pb 0.250 0.750 0.250
Pb3 Pb 0.750 0.250 0.250
Pb4 Pb 0.750 0.750 0.750
```


# 3
GdYSi4Os2: calculated X-ray diffraction stick pattern (Cu Kα, 1.54184 Å), based on a cell relaxed with PBE.
Kinematic intensities with the Lorentz-polarization factor, no thermal factor.

Most intense lines, 2θ = 5–70°, sorted by position:
2θ/deg, d [Å], Rel. int.
11.08, 7.983, 100
30.00, 2.979, 49
30.52, 2.929, 99
31.29, 2.859, 79
33.50, 2.675, 72
35.80, 2.508, 52
40.42, 2.232, 50
44.22, 2.048, 38

Structural model:
```
data_GdYSi4Os2
_chemical_formula_sum 'Gd1 Y1 Si4 Os2'
_space_group_name_H-M_alt 'P 1'
_space_group_IT_number 1
_space_group_name_Hall 'P 1'
_cell_length_a 4.433
_cell_length_b 4.097
_cell_length_c 8.155
_cell_angle_alpha 90.00
_cell_angle_beta 101.79
_cell_angle_gamma 90.00
loop_
_atom_site_label
_atom_site_type_symbol
_atom_site_fract_x
_atom_site_fract_y
_atom_site_fract_z
Gd1 Gd 0.000 0.000 0.000
Y1 Y 0.824 0.500 0.595
Si1 Si 0.076 0.500 0.293
Si2 Si 0.376 0.000 0.709
Si3 Si 0.449 0.500 0.888
Si4 Si 0.748 0.000 0.304
Os1 Os 0.296 0.000 0.414
Os2 Os 0.528 0.500 0.183
```


# 4
Al2ZnTe2Se2: calculated X-ray diffraction stick pattern (Cu Kα, 1.54184 Å), based on a cell relaxed with PBE.
Kinematic intensities with the Lorentz-polarization factor, no thermal factor.

Most intense lines, 2θ = 5–70°, sorted by position:
2θ/deg, d [Å], Rel. int.
26.26, 3.394, 100
26.85, 3.321, 85
30.51, 2.930, 14
42.81, 2.112, 20
44.23, 2.048, 34
44.34, 2.043, 50
51.17, 1.785, 14
51.35, 1.779, 14

Structural model:
```
data_Al2ZnTe2Se2
_chemical_formula_sum 'Al4 Zn2 Te4 Se4'
_space_group_name_H-M_alt 'P 1'
_space_group_IT_number 1
_space_group_name_Hall 'P 1'
_cell_length_a 8.173
_cell_length_b 11.400
_cell_length_c 5.864
_cell_angle_alpha 90.00
_cell_angle_beta 133.91
_cell_angle_gamma 90.00
loop_
_atom_site_label
_atom_site_type_symbol
_atom_site_fract_x
_atom_site_fract_y
_atom_site_fract_z
Al1 Al 0.000 0.000 0.000
Al2 Al 0.000 0.232 0.500
Al3 Al 0.500 0.500 0.000
Al4 Al 0.500 0.732 0.500
Zn1 Zn 0.000 0.735 0.500
Zn2 Zn 0.500 0.235 0.500
Te1 Te 0.227 0.374 0.994
Te2 Te 0.273 0.874 0.006
Te3 Te 0.727 0.874 0.994
Te4 Te 0.773 0.374 0.006
Se1 Se 0.245 0.107 0.501
Se2 Se 0.255 0.607 0.499
Se3 Se 0.745 0.607 0.501
Se4 Se 0.755 0.107 0.499
```


# 5
TlPt17: calculated X-ray diffraction stick pattern (Cu Kα, 1.54184 Å), based on a cell relaxed with PBE.
Kinematic intensities with the Lorentz-polarization factor, no thermal factor.

Most intense lines, 2θ = 5–70°, sorted by position:
2θ/deg, d [Å], Rel. int.
5.22, 16.938, 100
37.16, 2.420, 24
38.92, 2.314, 43
39.76, 2.267, 99
39.92, 2.258, 24
44.67, 2.029, 26
46.25, 1.963, 37
67.44, 1.389, 26

Structural model:
```
data_TlPt17
_chemical_formula_sum 'Tl2 Pt34'
_space_group_name_H-M_alt 'P 1'
_space_group_IT_number 1
_space_group_name_Hall 'P 1'
_cell_length_a 4.809
_cell_length_b 5.558
_cell_length_c 33.875
_cell_angle_alpha 90.00
_cell_angle_beta 90.16
_cell_angle_gamma 90.00
loop_
_atom_site_label
_atom_site_type_symbol
_atom_site_fract_x
_atom_site_fract_y
_atom_site_fract_z
Tl1 Tl 0.166 0.250 0.296
Tl2 Tl 0.834 0.750 0.704
Pt1 Pt 0.000 0.000 0.000
Pt2 Pt 0.000 0.500 0.000
Pt3 Pt 0.001 0.503 0.795
Pt4 Pt 0.001 0.997 0.795
Pt5 Pt 0.165 0.750 0.864
Pt6 Pt 0.167 0.250 0.068
Pt7 Pt 0.167 0.250 0.865
Pt8 Pt 0.168 0.750 0.068
Pt9 Pt 0.169 0.750 0.273
Pt10 Pt 0.333 0.000 0.932
Pt11 Pt 0.333 0.001 0.137
Pt12 Pt 0.333 0.005 0.728
Pt13 Pt 0.333 0.495 0.728
Pt14 Pt 0.333 0.499 0.137
Pt15 Pt 0.333 0.500 0.932
Pt16 Pt 0.494 0.250 0.206
Pt17 Pt 0.500 0.250 0.000
Pt18 Pt 0.500 0.250 0.796
Pt19 Pt 0.500 0.750 0.000
Pt20 Pt 0.500 0.750 0.204
Pt21 Pt 0.506 0.750 0.794
Pt22 Pt 0.667 0.000 0.068
Pt23 Pt 0.667 0.500 0.068
Pt24 Pt 0.667 0.501 0.863
Pt25 Pt 0.667 0.505 0.272
Pt26 Pt 0.667 0.995 0.272
Pt27 Pt 0.667 0.999 0.863
Pt28 Pt 0.831 0.250 0.727
Pt29 Pt 0.832 0.250 0.932
Pt30 Pt 0.833 0.750 0.135
Pt31 Pt 0.833 0.750 0.932
Pt32 Pt 0.835 0.250 0.136
Pt33 Pt 0.999 0.003 0.205
Pt34 Pt 0.999 0.497 0.205
```


# 6
Cs2Ta6PbCl18: calculated X-ray diffraction stick pattern (Cu Kα, 1.54184 Å), based on a cell relaxed with PBE.
Kinematic intensities with the Lorentz-polarization factor, no thermal factor.

Most intense lines, 2θ = 5–70°, sorted by position:
2θ/deg, d [Å], Rel. int.
10.05, 8.802, 31
11.21, 7.892, 88
12.63, 7.009, 100
17.19, 5.159, 44
25.96, 3.432, 29
33.31, 2.690, 48
39.08, 2.305, 46
39.71, 2.270, 43

Structural model:
```
data_Cs2Ta6PbCl18
_chemical_formula_sum 'Cs2 Ta6 Pb1 Cl18'
_space_group_name_H-M_alt 'P 1'
_space_group_IT_number 1
_space_group_name_Hall 'P 1'
_cell_length_a 10.386
_cell_length_b 10.386
_cell_length_c 10.386
_cell_angle_alpha 54.73
_cell_angle_beta 54.73
_cell_angle_gamma 54.73
loop_
_atom_site_label
_atom_site_type_symbol
_atom_site_fract_x
_atom_site_fract_y
_atom_site_fract_z
Cs1 Cs 0.223 0.223 0.223
Cs2 Cs 0.777 0.777 0.777
Ta1 Ta 0.080 0.200 0.854
Ta2 Ta 0.146 0.920 0.800
Ta3 Ta 0.200 0.854 0.080
Ta4 Ta 0.800 0.146 0.920
Ta5 Ta 0.854 0.080 0.200
Ta6 Ta 0.920 0.800 0.146
Pb1 Pb 0.500 0.500 0.500
Cl1 Cl 0.066 0.921 0.334
Cl2 Cl 0.079 0.666 0.934
Cl3 Cl 0.142 0.590 0.270
Cl4 Cl 0.175 0.460 0.672
Cl5 Cl 0.270 0.142 0.590
Cl6 Cl 0.328 0.825 0.540
Cl7 Cl 0.334 0.066 0.921
Cl8 Cl 0.410 0.730 0.858
Cl9 Cl 0.460 0.672 0.175
Cl10 Cl 0.540 0.328 0.825
Cl11 Cl 0.590 0.270 0.142
Cl12 Cl 0.666 0.934 0.079
Cl13 Cl 0.672 0.175 0.460
Cl14 Cl 0.730 0.858 0.410
Cl15 Cl 0.825 0.540 0.328
Cl16 Cl 0.858 0.410 0.730
Cl17 Cl 0.921 0.334 0.066
Cl18 Cl 0.934 0.079 0.666
```


# 7
GdBiBr6: calculated X-ray diffraction stick pattern (Cu Kα, 1.54184 Å), based on a cell relaxed with PBE.
Kinematic intensities with the Lorentz-polarization factor, no thermal factor.

Most intense lines, 2θ = 5–70°, sorted by position:
2θ/deg, d [Å], Rel. int.
13.38, 6.619, 65
14.85, 5.967, 32
16.63, 5.330, 24
24.97, 3.566, 43
30.37, 2.943, 49
30.61, 2.921, 100
43.22, 2.093, 54
44.08, 2.054, 35

Structural model:
```
data_GdBiBr6
_chemical_formula_sum 'Gd2 Bi2 Br12'
_space_group_name_H-M_alt 'P 1'
_space_group_IT_number 1
_space_group_name_Hall 'P 1'
_cell_length_a 7.244
_cell_length_b 12.571
_cell_length_c 7.074
_cell_angle_alpha 90.00
_cell_angle_beta 110.65
_cell_angle_gamma 90.00
loop_
_atom_site_label
_atom_site_type_symbol
_atom_site_fract_x
_atom_site_fract_y
_atom_site_fract_z
Gd1 Gd 0.000 0.000 0.000
Gd2 Gd 0.500 0.500 0.000
Bi1 Bi 0.000 0.667 0.000
Bi2 Bi 0.500 0.167 0.000
Br1 Br 0.236 0.008 0.753
Br2 Br 0.236 0.836 0.246
Br3 Br 0.244 0.656 0.753
Br4 Br 0.256 0.156 0.247
Br5 Br 0.264 0.336 0.754
Br6 Br 0.264 0.508 0.247
Br7 Br 0.736 0.336 0.246
Br8 Br 0.736 0.508 0.753
Br9 Br 0.744 0.156 0.753
Br10 Br 0.756 0.656 0.247
Br11 Br 0.764 0.008 0.247
Br12 Br 0.764 0.836 0.754
```


# 8
TlIrAu3S4: calculated X-ray diffraction stick pattern (Cu Kα, 1.54184 Å), based on a cell relaxed with PBE.
Kinematic intensities with the Lorentz-polarization factor, no thermal factor.

Most intense lines, 2θ = 5–70°, sorted by position:
2θ/deg, d [Å], Rel. int.
14.41, 6.147, 26
20.43, 4.346, 20
25.09, 3.549, 79
29.05, 3.073, 79
41.55, 2.173, 100
49.16, 1.853, 40
51.50, 1.774, 24
68.23, 1.374, 33

Structural model:
```
data_TlIrAu3S4
_chemical_formula_sum 'Tl1 Ir1 Au3 S4'
_space_group_name_H-M_alt 'P 1'
_space_group_IT_number 1
_space_group_name_Hall 'P 1'
_cell_length_a 6.147
_cell_length_b 6.147
_cell_length_c 6.147
_cell_angle_alpha 90.00
_cell_angle_beta 90.00
_cell_angle_gamma 90.00
loop_
_atom_site_label
_atom_site_type_symbol
_atom_site_fract_x
_atom_site_fract_y
_atom_site_fract_z
Tl1 Tl 0.000 0.000 0.000
Ir1 Ir 0.500 0.500 0.500
Au1 Au 0.000 0.500 0.500
Au2 Au 0.500 0.000 0.500
Au3 Au 0.500 0.500 0.000
S1 S 0.282 0.282 0.282
S2 S 0.282 0.718 0.718
S3 S 0.718 0.282 0.718
S4 S 0.718 0.718 0.282
```


# 9
HgIr15: calculated X-ray diffraction stick pattern (Cu Kα, 1.54184 Å), based on a cell relaxed with PBE.
Kinematic intensities with the Lorentz-polarization factor, no thermal factor.

Most intense lines, 2θ = 5–70°, sorted by position:
2θ/deg, d [Å], Rel. int.
9.93, 8.903, 5
39.81, 2.264, 100
41.03, 2.200, 68
44.79, 2.023, 6
47.00, 1.933, 39
47.07, 1.931, 34
66.98, 1.397, 7
68.68, 1.367, 36

Structural model:
```
data_HgIr15
_chemical_formula_sum 'Hg2 Ir30'
_space_group_name_H-M_alt 'P 1'
_space_group_IT_number 1
_space_group_name_Hall 'P 1'
_cell_length_a 3.863
_cell_length_b 3.863
_cell_length_c 44.515
_cell_angle_alpha 90.00
_cell_angle_beta 90.00
_cell_angle_gamma 90.00
loop_
_atom_site_label
_atom_site_type_symbol
_atom_site_fract_x
_atom_site_fract_y
_atom_site_fract_z
Hg1 Hg 0.250 0.000 0.157
Hg2 Hg 0.750 0.000 0.843
Ir1 Ir 0.250 0.000 0.260
Ir2 Ir 0.250 0.000 0.347
Ir3 Ir 0.250 0.000 0.434
Ir4 Ir 0.250 0.000 0.522
Ir5 Ir 0.250 0.000 0.609
Ir6 Ir 0.250 0.000 0.696
Ir7 Ir 0.250 0.000 0.783
Ir8 Ir 0.250 0.500 0.217
Ir9 Ir 0.250 0.500 0.304
Ir10 Ir 0.250 0.500 0.391
Ir11 Ir 0.250 0.500 0.478
Ir12 Ir 0.250 0.500 0.566
Ir13 Ir 0.250 0.500 0.653
Ir14 Ir 0.250 0.500 0.740
Ir15 Ir 0.250 0.500 0.824
Ir16 Ir 0.750 0.000 0.217
Ir17 Ir 0.750 0.000 0.304
Ir18 Ir 0.750 0.000 0.391
Ir19 Ir 0.750 0.000 0.478
Ir20 Ir 0.750 0.000 0.566
Ir21 Ir 0.750 0.000 0.653
Ir22 Ir 0.750 0.000 0.740
Ir23 Ir 0.750 0.500 0.176
Ir24 Ir 0.750 0.500 0.260
Ir25 Ir 0.750 0.500 0.347
Ir26 Ir 0.750 0.500 0.434
Ir27 Ir 0.750 0.500 0.522
Ir28 Ir 0.750 0.500 0.609
Ir29 Ir 0.750 0.500 0.696
Ir30 Ir 0.750 0.500 0.783
```


# 10
MoI2Br2Cl: calculated X-ray diffraction stick pattern (Cu Kα, 1.54184 Å), based on a cell relaxed with PBE.
Kinematic intensities with the Lorentz-polarization factor, no thermal factor.

Most intense lines, 2θ = 5–70°, sorted by position:
2θ/deg, d [Å], Rel. int.
14.00, 6.324, 29
14.82, 5.979, 27
19.36, 4.585, 33
28.22, 3.162, 37
29.81, 2.997, 55
29.91, 2.987, 61
30.43, 2.938, 100
39.45, 2.284, 23

Structural model:
```
data_MoI2Br2Cl
_chemical_formula_sum 'Mo2 I4 Br4 Cl2'
_space_group_name_H-M_alt 'P 1'
_space_group_IT_number 1
_space_group_name_Hall 'P 1'
_cell_length_a 6.866
_cell_length_b 7.393
_cell_length_c 9.974
_cell_angle_alpha 109.93
_cell_angle_beta 91.20
_cell_angle_gamma 117.04
loop_
_atom_site_label
_atom_site_type_symbol
_atom_site_fract_x
_atom_site_fract_y
_atom_site_fract_z
Mo1 Mo 0.104 0.207 0.207
Mo2 Mo 0.896 0.793 0.793
I1 I 0.072 0.809 0.563
I2 I 0.318 0.995 0.241
I3 I 0.682 0.005 0.759
I4 I 0.928 0.191 0.437
Br1 Br 0.114 0.632 0.857
Br2 Br 0.439 0.568 0.323
Br3 Br 0.561 0.432 0.677
Br4 Br 0.886 0.368 0.143
Cl1 Cl 0.213 0.165 0.960
Cl2 Cl 0.787 0.835 0.040
```


# 11
Cu17Sb: calculated X-ray diffraction stick pattern (Cu Kα, 1.54184 Å), based on a cell relaxed with PBE.
Kinematic intensities with the Lorentz-polarization factor, no thermal factor.

Most intense lines, 2θ = 5–70°, sorted by position:
2θ/deg, d [Å], Rel. int.
5.93, 14.906, 100
11.87, 7.453, 8
42.45, 2.129, 17
42.90, 2.108, 36
43.90, 2.062, 56
45.65, 1.988, 7
49.78, 1.832, 31
51.67, 1.769, 21

Structural model:
```
data_Cu17Sb
_chemical_formula_sum 'Cu34 Sb2'
_space_group_name_H-M_alt 'P 1'
_space_group_IT_number 1
_space_group_name_Hall 'P 1'
_cell_length_a 5.076
_cell_length_b 5.076
_cell_length_c 29.813
_cell_angle_alpha 90.00
_cell_angle_beta 90.00
_cell_angle_gamma 120.00
loop_
_atom_site_label
_atom_site_type_symbol
_atom_site_fract_x
_atom_site_fract_y
_atom_site_fract_z
Cu1 Cu 0.000 0.000 0.000
Cu2 Cu 0.000 0.000 0.209
Cu3 Cu 0.000 0.000 0.791
Cu4 Cu 0.000 0.500 0.000
Cu5 Cu 0.004 0.502 0.210
Cu6 Cu 0.167 0.333 0.721
Cu7 Cu 0.167 0.334 0.139
Cu8 Cu 0.167 0.334 0.930
Cu9 Cu 0.167 0.833 0.139
Cu10 Cu 0.167 0.833 0.721
Cu11 Cu 0.167 0.833 0.930
Cu12 Cu 0.333 0.167 0.279
Cu13 Cu 0.333 0.667 0.069
Cu14 Cu 0.333 0.667 0.860
Cu15 Cu 0.334 0.167 0.070
Cu16 Cu 0.334 0.167 0.861
Cu17 Cu 0.498 0.502 0.210
Cu18 Cu 0.498 0.996 0.210
Cu19 Cu 0.500 0.000 0.000
Cu20 Cu 0.500 0.500 0.000
Cu21 Cu 0.502 0.004 0.790
Cu22 Cu 0.502 0.498 0.790
Cu23 Cu 0.666 0.833 0.139
Cu24 Cu 0.666 0.833 0.930
Cu25 Cu 0.667 0.333 0.140
Cu26 Cu 0.667 0.333 0.931
Cu27 Cu 0.667 0.833 0.721
Cu28 Cu 0.833 0.167 0.070
Cu29 Cu 0.833 0.167 0.279
Cu30 Cu 0.833 0.167 0.861
Cu31 Cu 0.833 0.666 0.070
Cu32 Cu 0.833 0.666 0.861
Cu33 Cu 0.833 0.667 0.279
Cu34 Cu 0.996 0.498 0.790
Sb1 Sb 0.333 0.667 0.307
Sb2 Sb 0.667 0.333 0.693
```


# 12
Tm2Ag2TeSe3: calculated X-ray diffraction stick pattern (Cu Kα, 1.54184 Å), based on a cell relaxed with PBE.
Kinematic intensities with the Lorentz-polarization factor, no thermal factor.

Most intense lines, 2θ = 5–70°, sorted by position:
2θ/deg, d [Å], Rel. int.
27.98, 3.189, 97
33.44, 2.679, 95
36.00, 2.495, 61
36.85, 2.439, 100
38.16, 2.359, 97
45.10, 2.010, 60
45.40, 1.998, 63
46.12, 1.968, 75

Structural model:
```
data_Tm2Ag2TeSe3
_chemical_formula_sum 'Tm4 Ag4 Te2 Se6'
_space_group_name_H-M_alt 'P 1'
_space_group_IT_number 1
_space_group_name_Hall 'P 1'
_cell_length_a 9.757
_cell_length_b 9.434
_cell_length_c 4.329
_cell_angle_alpha 90.00
_cell_angle_beta 90.62
_cell_angle_gamma 90.00
loop_
_atom_site_label
_atom_site_type_symbol
_atom_site_fract_x
_atom_site_fract_y
_atom_site_fract_z
Tm1 Tm 0.000 0.000 0.000
Tm2 Tm 0.023 0.500 0.398
Tm3 Tm 0.500 0.500 0.000
Tm4 Tm 0.523 0.000 0.398
Ag1 Ag 0.258 0.250 0.219
Ag2 Ag 0.258 0.750 0.219
Ag3 Ag 0.758 0.250 0.219
Ag4 Ag 0.758 0.750 0.219
Te1 Te 0.306 0.000 0.892
Te2 Te 0.806 0.500 0.892
Se1 Se 0.009 0.200 0.483
Se2 Se 0.009 0.800 0.483
Se3 Se 0.213 0.500 0.913
Se4 Se 0.509 0.300 0.483
Se5 Se 0.509 0.700 0.483
Se6 Se 0.713 0.000 0.913
```